Rb2FeF6: theoretical powder diffractogram (a wavelength of 1.5418 Å), based on a cell relaxed with PBE+U.
Kinematic intensities with the Lorentz-polarization factor, no thermal factor.

Atomic structure:
Cell: 6.111 7.770 7.995 Å, 90.00 119.51 90.00°
Atoms (fractional coordinates):
1 Rb 0.181 0.069 0.320
2 Rb 0.181 0.431 0.820
3 Rb 0.819 0.569 0.180
4 Rb 0.819 0.931 0.680
5 Fe 0.500 0.000 0.000
6 Fe 0.500 0.500 0.500
7 F 0.222 0.105 0.989
8 F 0.222 0.395 0.489
9 F 0.341 0.708 0.454
10 F 0.341 0.792 0.954
11 F 0.358 0.031 0.740
12 F 0.358 0.469 0.240
13 F 0.642 0.531 0.760
14 F 0.642 0.969 0.260
15 F 0.659 0.208 0.046
16 F 0.659 0.292 0.546
17 F 0.778 0.605 0.511
18 F 0.778 0.895 0.011

Principal peaks in the range 2θ = 10–90°, low angle first:
hkl 1 0 -2, 22.62 deg, rel. 100; hkl 0 2 0, 22.89 deg, rel. 60; hkl 1 1 1, 28.11 deg, rel. 71; hkl 2 1 -1, 31.69 deg, rel. 74; hkl 1 3 0, 38.66 deg, rel. 62; hkl 0 1 3, 40.60 deg, rel. 50